Calculated powder diffraction line list
Compound: TaNb2H2
Radiation: Cu Kα (λ = 1.5418 Å)
Structure: a cell relaxed with PBE

The 8 most intense peaks (10 to 80 degrees two-theta), by angle:
(0 0 2), 17.05°, I 13; (1 0 3), 37.07°, I 100; (1 1 0), 37.48°, I 49; (0 0 6), 52.82°, I 8; (2 0 0), 54.04°, I 17; (1 1 6), 66.55°, I 17; (2 1 3), 67.35°, I 34; (2 0 6), 78.96°, I 10

```
data_TaNb2H2
_chemical_formula_sum 'Ta2 Nb4 H4'
_cell_length_a 3.394
_cell_length_b 3.394
_cell_length_c 10.400
_cell_angle_alpha 90.00
_cell_angle_beta 90.00
_cell_angle_gamma 90.00
_space_group_name_H-M_alt 'I 4/m m m'
_space_group_IT_number 139
_space_group_name_Hall '-I 4 2'
loop_
_atom_site_label
_atom_site_type_symbol
_atom_site_fract_x
_atom_site_fract_y
_atom_site_fract_z
Ta1 Ta 0.000 0.000 0.000
Nb1 Nb 0.000 0.000 0.344
H1 H 0.000 0.500 0.250
```